Entry 1:
# Sr2Li3O4
Simulated X-ray powder pattern, Cu Kα (weighted mean of Kα1 and Kα2). Input: the GGA-PBE geometry in Alexandria.

Structural model:
Lattice parameters (Å, degrees): 6.7670 6.7670 6.7413 90.00 90.00 134.01
Positions (direct):
Sr1 0.1196 0.8804 0.9178
Sr2 0.3804 0.6196 0.4178
Sr3 0.6196 0.3804 0.5822
Sr4 0.8804 0.1196 0.0822
Li1 0.0000 0.0000 0.5000
Li2 0.0545 0.4455 0.7500
Li3 0.4455 0.0545 0.2500
Li4 0.5000 0.5000 0.0000
Li5 0.5545 0.9455 0.7500
Li6 0.9455 0.5545 0.2500
O1 0.2120 0.7880 0.6094
O2 0.2128 0.2872 0.7500
O3 0.2872 0.2128 0.2500
O4 0.2880 0.7120 0.1094
O5 0.7120 0.2880 0.8906
O6 0.7128 0.7872 0.7500
O7 0.7872 0.7128 0.2500
O8 0.7880 0.2120 0.3906

Main lines, most intense first (2θ = 15–90°):
22.53°, rel. 100; 38.38°, rel. 50; 42.28°, rel. 44; 39.37°, rel. 44; 42.78°, rel. 40; 19.40°, rel. 39; 30.41°, rel. 33; 33.91°, rel. 26; 55.68°, rel. 23; 44.98°, rel. 23; 28.66°, rel. 22; 32.31°, rel. 20

---

Entry 2:
# SrLi2Ta2O7
Simulated X-ray powder pattern, Cu Kα (weighted mean of Kα1 and Kα2). Input: the GGA-PBE geometry in Alexandria.

Structural model:
Lattice parameters (Å, degrees): 9.6248 9.6248 5.6281 90.00 90.00 34.04
Positions (direct):
Sr1 0.2456 0.7544 0.7500
Sr2 0.7544 0.2456 0.2500
Li1 0.2395 0.2395 0.0000
Li2 0.2395 0.2395 0.5000
Li3 0.7605 0.7605 0.0000
Li4 0.7605 0.7605 0.5000
Ta1 0.1389 0.6321 0.2500
Ta2 0.3679 0.8611 0.2500
Ta3 0.6321 0.1389 0.7500
Ta4 0.8611 0.3679 0.7500
O1 0.0643 0.5026 0.2500
O2 0.1146 0.1146 0.0000
O3 0.1146 0.1146 0.5000
O4 0.2071 0.7929 0.2500
O5 0.4052 0.4052 0.0000
O6 0.4052 0.4052 0.5000
O7 0.4974 0.9357 0.2500
O8 0.5026 0.0643 0.7500
O9 0.5948 0.5948 0.0000
O10 0.5948 0.5948 0.5000
O11 0.7929 0.2071 0.7500
O12 0.8854 0.8854 0.0000
O13 0.8854 0.8854 0.5000
O14 0.9357 0.4974 0.7500

Main lines, most intense first (2θ = 15–90°):
26.69°, rel. 100; 33.14°, rel. 90; 22.85°, rel. 72; 31.78°, rel. 66; 19.29°, rel. 45; 45.56°, rel. 44; 57.49°, rel. 40; 53.59°, rel. 29; 51.28°, rel. 28; 61.60°, rel. 22; 39.15°, rel. 22; 50.14°, rel. 20

---

Entry 3:
# SrLi3Ta4O12
Simulated X-ray powder pattern, Cu Kα (weighted mean of Kα1 and Kα2). Input: the GGA-PBE geometry in Alexandria.

Structural model:
Lattice parameters (Å, degrees): 6.6919 6.6919 6.6919 109.47 109.47 109.47
Positions (direct):
Sr1 0.0000 0.0000 0.0000
Li1 0.0000 0.5000 0.5000
Li2 0.5000 0.0000 0.5000
Li3 0.5000 0.5000 0.0000
Ta1 0.0000 0.0000 0.5000
Ta2 0.0000 0.5000 0.0000
Ta3 0.5000 0.0000 0.0000
Ta4 0.5000 0.5000 0.5000
O1 0.1021 0.2944 0.8078
O2 0.1922 0.4866 0.2944
O3 0.1922 0.8979 0.7056
O4 0.2944 0.1922 0.4866
O5 0.2944 0.8078 0.1021
O6 0.4866 0.2944 0.1922
O7 0.5134 0.7056 0.8078
O8 0.7056 0.1922 0.8979
O9 0.7056 0.8078 0.5134
O10 0.8078 0.1021 0.2944
O11 0.8078 0.5134 0.7056
O12 0.8979 0.7056 0.1922

Main lines, most intense first (2θ = 15–90°):
32.78°, rel. 100; 23.02°, rel. 91; 58.52°, rel. 47; 53.00°, rel. 39; 47.04°, rel. 27; 78.25°, rel. 18; 73.54°, rel. 16; 40.44°, rel. 16; 68.72°, rel. 15; 82.87°, rel. 10; 16.22°, rel. 7; 87.45°, rel. 5

---

Entry 4:
# Sr3Li6Ta2O11
Simulated X-ray powder pattern, Cu Kα (weighted mean of Kα1 and Kα2). Input: the GGA-PBE geometry in Alexandria.

Structural model:
Lattice parameters (Å, degrees): 10.6873 8.4375 5.8742 90.00 90.00 90.00
Positions (direct):
Sr1 0.0000 0.2367 0.0000
Sr2 0.0000 0.7633 0.0000
Sr3 0.2500 0.5000 0.1165
Sr4 0.5000 0.2367 0.0000
Sr5 0.5000 0.7633 0.0000
Sr6 0.7500 0.5000 0.8835
Li1 0.0000 0.1448 0.5000
Li2 0.0000 0.8552 0.5000
Li3 0.2500 0.1853 0.2811
Li4 0.2500 0.3541 0.6490
Li5 0.2500 0.6459 0.6490
Li6 0.2500 0.8147 0.2811
Li7 0.5000 0.1448 0.5000
Li8 0.5000 0.8552 0.5000
Li9 0.7500 0.1853 0.7189
Li10 0.7500 0.3541 0.3510
Li11 0.7500 0.6459 0.3510
Li12 0.7500 0.8147 0.7189
Ta1 0.0000 0.5000 0.5000
Ta2 0.2500 0.0000 0.7643
Ta3 0.5000 0.5000 0.5000
Ta4 0.7500 0.0000 0.2357
O1 0.0613 0.0000 0.7527
O2 0.1073 0.5000 0.7806
O3 0.1100 0.3268 0.3667
O4 0.1100 0.6732 0.3667
O5 0.2500 0.0000 0.4441
O6 0.2500 0.1980 0.9312
O7 0.2500 0.8020 0.9312
O8 0.3900 0.3268 0.3667
O9 0.3900 0.6732 0.3667
O10 0.3927 0.5000 0.7806
O11 0.4387 0.0000 0.7527
O12 0.5613 0.0000 0.2473
O13 0.6073 0.5000 0.2194
O14 0.6100 0.3268 0.6333
O15 0.6100 0.6732 0.6333
O16 0.7500 0.0000 0.5559
O17 0.7500 0.1980 0.0688
O18 0.7500 0.8020 0.0688
O19 0.8900 0.3268 0.6333
O20 0.8900 0.6732 0.6333
O21 0.8927 0.5000 0.2194
O22 0.9387 0.0000 0.2473

Main lines, most intense first (2θ = 15–90°):
20.21°, rel. 100; 31.00°, rel. 96; 19.66°, rel. 67; 24.87°, rel. 66; 42.90°, rel. 57; 34.86°, rel. 53; 33.54°, rel. 49; 26.00°, rel. 37; 47.22°, rel. 33; 21.06°, rel. 32; 32.27°, rel. 30; 31.22°, rel. 26

---

Entry 5:
# Sr2Li2UO6
Simulated X-ray powder pattern, Cu Kα (weighted mean of Kα1 and Kα2). Input: the GGA-PBE geometry in Alexandria.

Structural model:
Lattice parameters (Å, degrees): 6.3429 6.3429 6.3429 55.41 55.41 55.41
Positions (direct):
Sr1 0.2133 0.2133 0.2133
Sr2 0.7867 0.7867 0.7867
Li1 0.4242 0.4242 0.4242
Li2 0.5758 0.5758 0.5758
U1 0.0000 0.0000 0.0000
O1 0.2277 0.7599 0.7599
O2 0.2401 0.2401 0.7723
O3 0.2401 0.7723 0.2401
O4 0.7599 0.2277 0.7599
O5 0.7599 0.7599 0.2277
O6 0.7723 0.2401 0.2401

Main lines, most intense first (2θ = 15–90°):
18.23°, rel. 100; 30.31°, rel. 60; 32.95°, rel. 50; 28.28°, rel. 43; 41.93°, rel. 31; 55.55°, rel. 26; 45.38°, rel. 22; 35.60°, rel. 18; 60.67°, rel. 18; 52.61°, rel. 17; 47.43°, rel. 15; 20.61°, rel. 13